Record 1
Structure and calculated X-ray powder pattern of Ac2AgSn8 (a PBE-relaxed structure; Cu Kα (weighted mean of Kα1 and Kα2)).
Intensities are scaled so that the largest is 100.

Most intense lines, 10° ≤ 2θ ≤ 90°, by angle:
d (Å)	2θ (°)	Rel. int.
3.091	28.9	31
2.720	32.9	100
2.496	36.0	53
1.787	51.1	22
1.765	51.8	19
1.480	62.8	32

Atomic structure:
```
Ac2AgSn8
1.0
4.992 0.000 0.000
0.000 4.992 0.000
0.000 0.000 12.805
Ac Ag Sn
2 1 8
Direct
0.000 0.000 0.187 Ac
0.000 0.000 0.813 Ac
0.000 0.000 0.500 Ag
0.000 0.500 0.000 Sn
0.000 0.500 0.376 Sn
0.000 0.500 0.624 Sn
0.500 0.000 0.000 Sn
0.500 0.000 0.376 Sn
0.500 0.000 0.624 Sn
0.500 0.500 0.190 Sn
0.500 0.500 0.810 Sn
```

Record 2
Structure and calculated X-ray powder pattern of SrCd12In6 (a PBE-relaxed structure; Cu Kα (weighted mean of Kα1 and Kα2)).
Intensities are scaled so that the largest is 100.

Most intense lines, 10° ≤ 2θ ≤ 90°, by angle:
d (Å)	2θ (°)	Rel. int.
3.040	29.4	90
3.008	29.7	68
2.551	35.2	100
2.532	35.5	69
2.338	38.5	67
2.093	43.2	61

Atomic structure:
```
SrCd12In6
1.0
6.634 3.830 3.375
-6.634 3.830 3.375
0.000 -7.660 3.375
Sr Cd In
1 12 6
Direct
0.000 0.000 0.000 Sr
0.108 0.500 0.892 Cd
0.108 0.892 0.500 Cd
0.129 0.368 0.368 Cd
0.368 0.129 0.368 Cd
0.368 0.368 0.129 Cd
0.500 0.108 0.892 Cd
0.500 0.892 0.108 Cd
0.632 0.632 0.871 Cd
0.632 0.871 0.632 Cd
0.871 0.632 0.632 Cd
0.892 0.108 0.500 Cd
0.892 0.500 0.108 Cd
0.285 0.702 0.702 In
0.298 0.298 0.715 In
0.298 0.715 0.298 In
0.702 0.285 0.702 In
0.702 0.702 0.285 In
0.715 0.298 0.298 In
```

Record 3
Structure and calculated X-ray powder pattern of Pr6ErPb (a PBE-relaxed structure; Cu Kα (weighted mean of Kα1 and Kα2)).
Intensities are scaled so that the largest is 100.

Most intense lines, 10° ≤ 2θ ≤ 90°, by angle:
d (Å)	2θ (°)	Rel. int.
2.954	30.3	100
2.611	34.3	18
2.533	35.4	33
1.818	50.2	24
1.566	59.0	15
1.532	60.4	28

Atomic structure:
```
Pr6ErPb
1.0
5.067 0.000 0.000
0.000 5.067 0.000
0.000 0.000 10.444
Pr Er Pb
6 1 1
Direct
0.000 0.000 0.000 Pr
0.000 0.000 0.500 Pr
0.000 0.500 0.245 Pr
0.000 0.500 0.755 Pr
0.500 0.000 0.245 Pr
0.500 0.000 0.755 Pr
0.500 0.500 0.500 Er
0.500 0.500 0.000 Pb
```

Record 4
Structure and calculated X-ray powder pattern of TiIn2Te4 (a PBE-relaxed structure; Cu Kα (weighted mean of Kα1 and Kα2)).
Intensities are scaled so that the largest is 100.

Most intense lines, 10° ≤ 2θ ≤ 90°, by angle:
d (Å)	2θ (°)	Rel. int.
5.772	15.3	61
3.281	27.2	99
2.886	31.0	55
2.758	32.5	100
2.125	42.5	60
1.914	47.5	45

Atomic structure:
```
TiIn2Te4
1.0
-4.082 4.082 3.741
4.082 -4.082 3.741
4.082 4.082 -3.741
Ti In Te
1 2 4
Direct
0.000 0.000 0.000 Ti
0.250 0.750 0.500 In
0.750 0.250 0.500 In
0.179 0.704 0.883 Te
0.296 0.179 0.474 Te
0.704 0.821 0.526 Te
0.821 0.296 0.117 Te
```

Record 5
Structure and calculated X-ray powder pattern of UInPd5 (a PBE-relaxed structure; Cu Kα (weighted mean of Kα1 and Kα2)).
Intensities are scaled so that the largest is 100.

Most intense lines, 10° ≤ 2θ ≤ 90°, by angle:
d (Å)	2θ (°)	Rel. int.
4.490	19.8	79
4.326	20.5	100
2.435	36.9	56
2.326	38.7	56
2.245	40.2	50
1.949	46.6	79

Atomic structure:
```
UInPd5
1.0
-2.701 4.490 3.612
2.701 -4.490 3.612
2.701 4.490 -3.612
U In Pd
1 1 5
Direct
0.000 0.000 0.000 U
0.656 0.156 0.500 In
0.093 0.847 0.246 Pd
0.299 0.049 0.751 Pd
0.299 0.548 0.249 Pd
0.601 0.847 0.754 Pd
0.628 0.628 0.000 Pd
```

Record 6
Structure and calculated X-ray powder pattern of Ac7Ni2Au2 (a PBE-relaxed structure; Cu Kα (weighted mean of Kα1 and Kα2)).
Intensities are scaled so that the largest is 100.

Most intense lines, 10° ≤ 2θ ≤ 90°, by angle:
d (Å)	2θ (°)	Rel. int.
3.406	26.2	41
3.269	27.3	53
3.175	28.1	47
2.861	31.3	100
2.815	31.8	43
2.537	35.4	41

Atomic structure:
```
Ac7Ni2Au2
1.0
-2.058 8.607 5.211
2.058 -8.607 5.211
2.058 8.607 -5.211
Ac Ni Au
7 2 2
Direct
0.000 0.000 0.000 Ac
0.249 0.355 0.894 Ac
0.259 0.565 0.694 Ac
0.461 0.355 0.106 Ac
0.592 0.203 0.389 Ac
0.814 0.203 0.611 Ac
0.871 0.565 0.306 Ac
0.206 0.706 0.500 Ni
0.606 0.606 0.000 Ni
0.086 0.848 0.237 Au
0.611 0.848 0.763 Au
```

Record 7
Structure and calculated X-ray powder pattern of YHfF7 (a PBE-relaxed structure; Cu Kα (weighted mean of Kα1 and Kα2)).
Intensities are scaled so that the largest is 100.

Most intense lines, 10° ≤ 2θ ≤ 90°, by angle:
d (Å)	2θ (°)	Rel. int.
4.146	21.4	100
4.035	22.0	40
3.955	22.5	20
3.156	28.3	25
2.090	43.3	17
1.787	51.1	16

Atomic structure:
```
YHfF7
1.0
6.072 0.000 0.000
0.000 5.816 0.000
-1.900 0.000 8.071
Y Hf F
2 2 14
Direct
0.153 0.000 0.189 Y
0.847 0.500 0.811 Y
0.317 0.005 0.726 Hf
0.683 0.505 0.274 Hf
0.029 0.720 0.012 F
0.080 0.760 0.707 F
0.093 0.265 0.707 F
0.270 0.002 0.478 F
0.363 0.009 0.972 F
0.431 0.273 0.255 F
0.441 0.745 0.263 F
0.559 0.245 0.737 F
0.569 0.773 0.745 F
0.637 0.509 0.028 F
0.730 0.502 0.522 F
0.907 0.765 0.293 F
0.920 0.260 0.293 F
0.971 0.220 0.988 F
```

Record 8
Structure and calculated X-ray powder pattern of PmCu9Ge2 (a PBE-relaxed structure; Cu Kα (weighted mean of Kα1 and Kα2)).
Intensities are scaled so that the largest is 100.

Most intense lines, 10° ≤ 2θ ≤ 90°, by angle:
d (Å)	2θ (°)	Rel. int.
2.534	35.4	32
2.185	41.3	31
2.132	42.4	100
1.971	46.1	21
1.372	68.4	23
1.267	75.0	20

Atomic structure:
```
PmCu9Ge2
1.0
2.534 1.463 7.884
-2.534 1.463 7.884
0.000 -2.926 7.884
Pm Cu Ge
1 9 2
Direct
0.000 0.000 0.000 Pm
0.080 0.590 0.590 Cu
0.335 0.335 0.335 Cu
0.410 0.410 0.920 Cu
0.410 0.920 0.410 Cu
0.500 0.500 0.500 Cu
0.590 0.080 0.590 Cu
0.590 0.590 0.080 Cu
0.665 0.665 0.665 Cu
0.920 0.410 0.410 Cu
0.146 0.146 0.146 Ge
0.854 0.854 0.854 Ge
```